Record 1
Starting from a crystal structure in the Materials Project, relaxed with GGA-PBE, the powder diffractogram of MgTi2Zn2O6 was simulated for Cu Kα.
Neutral-atom scattering factors, no anomalous dispersion.

Cell and atoms:
```
data_MgTi2Zn2O6
_chemical_formula_sum 'Mg1 Ti2 Zn2 O6'
_cell_length_a 5.2717
_cell_length_b 5.6459
_cell_length_c 5.6610
_cell_angle_alpha 69.75
_cell_angle_beta 67.80
_cell_angle_gamma 69.87
_space_group_name_H-M_alt 'P 1'
_space_group_IT_number 1
_space_group_name_Hall 'P 1'
loop_
_atom_site_label
_atom_site_type_symbol
_atom_site_fract_x
_atom_site_fract_y
_atom_site_fract_z
Mg1 Mg 0.0000 0.0000 0.0000
Ti1 Ti 0.2934 0.3711 0.3412
Ti2 Ti 0.7774 0.5159 0.1599
Zn1 Zn 0.4836 0.2013 0.8303
Zn2 Zn 0.6295 0.7510 0.6168
O1 O 0.1217 0.2364 0.1414
O2 O 0.2986 0.0719 0.6454
O3 O 0.5018 0.5099 0.5093
O4 O 0.6439 0.2877 0.0520
O5 O 0.7516 0.8218 0.8857
O6 O 0.9849 0.6770 0.3023
```

Main lines, by intensity (5° ≤ 2θ ≤ 70°):
| 2θ/deg | d [Å] | Rel. int. |
| --- | --- | --- |
| 27.6 | 3.231 | 100 |
| 43.5 | 2.082 | 86 |
| 18.8 | 4.731 | 80 |
| 29.3 | 3.044 | 63 |
| 28.6 | 3.119 | 52 |
| 52.2 | 1.752 | 49 |
| 22.2 | 4.004 | 49 |
| 49.0 | 1.859 | 41 |
| 50.4 | 1.812 | 40 |
| 21.6 | 4.116 | 32 |

***

Record 2
Starting from a crystal structure in the Materials Project, relaxed with GGA-PBE, the powder diffractogram of Zn2InI4 was simulated for Cu Kα.
Neutral-atom scattering factors, no anomalous dispersion.

Cell and atoms:
```
data_Zn2InI4
_chemical_formula_sum 'Zn4 In2 I8'
_cell_length_a 7.7639
_cell_length_b 10.5016
_cell_length_c 8.4132
_cell_angle_alpha 90.00
_cell_angle_beta 117.00
_cell_angle_gamma 90.00
_space_group_name_H-M_alt 'P 1'
_space_group_IT_number 1
_space_group_name_Hall 'P 1'
loop_
_atom_site_label
_atom_site_type_symbol
_atom_site_fract_x
_atom_site_fract_y
_atom_site_fract_z
Zn1 Zn 0.2233 0.2500 0.3301
Zn2 Zn 0.2269 0.2500 0.7997
Zn3 Zn 0.7731 0.7500 0.2003
Zn4 Zn 0.7767 0.7500 0.6699
In1 In 0.1358 0.7500 0.4907
In2 In 0.8642 0.2500 0.5093
I1 I 0.0084 0.5538 0.7447
I2 I 0.0084 0.9462 0.7447
I3 I 0.4464 0.2500 0.1584
I4 I 0.4959 0.2500 0.6688
I5 I 0.5041 0.7500 0.3312
I6 I 0.5536 0.7500 0.8416
I7 I 0.9916 0.0538 0.2553
I8 I 0.9916 0.4462 0.2553
```

Main lines, by intensity (5° ≤ 2θ ≤ 70°):
| 2θ/deg | d [Å] | Rel. int. |
| --- | --- | --- |
| 27.3 | 3.268 | 100 |
| 21.2 | 4.183 | 100 |
| 16.9 | 5.251 | 66 |
| 33.1 | 2.710 | 47 |
| 34.2 | 2.625 | 41 |
| 34.5 | 2.600 | 39 |
| 36.6 | 2.452 | 39 |
| 28.6 | 3.120 | 38 |
| 36.3 | 2.474 | 38 |
| 42.8 | 2.111 | 38 |

***

Record 3
Starting from a crystal structure in the Materials Project, relaxed with GGA-PBE, the powder diffractogram of KO2 was simulated for Cu Kα.
Neutral-atom scattering factors, no anomalous dispersion.

Cell and atoms:
```
data_KO2
_chemical_formula_sum 'K2 O4'
_cell_length_a 7.3524
_cell_length_b 7.3524
_cell_length_c 10.0129
_cell_angle_alpha 100.00
_cell_angle_beta 100.00
_cell_angle_gamma 59.76
_space_group_name_H-M_alt 'P 1'
_space_group_IT_number 1
_space_group_name_Hall 'P 1'
loop_
_atom_site_label
_atom_site_type_symbol
_atom_site_fract_x
_atom_site_fract_y
_atom_site_fract_z
K1 K 0.0000 0.0000 0.0000
K2 K 0.0000 0.0000 0.5000
O1 O 0.0067 0.1025 0.2636
O2 O 0.1025 0.0067 0.7636
O3 O 0.8975 0.9933 0.2364
O4 O 0.9933 0.8975 0.7364
```

Main lines, by intensity (5° ≤ 2θ ≤ 70°):
| 2θ/deg | d [Å] | Rel. int. |
| --- | --- | --- |
| 14.0 | 6.319 | 100 |
| 14.2 | 6.246 | 43 |
| 24.6 | 3.620 | 16 |
| 28.2 | 3.160 | 13 |
| 24.3 | 3.663 | 12 |
| 38.0 | 2.368 | 9 |
| 36.6 | 2.454 | 8 |
| 44.4 | 2.039 | 7 |
| 37.5 | 2.397 | 6 |
| 40.7 | 2.218 | 5 |

***

Record 4
Starting from a crystal structure in the Materials Project, relaxed with GGA-PBE, the powder diffractogram of LaGa2Ni was simulated for Cu Kα.
Neutral-atom scattering factors, no anomalous dispersion.

Cell and atoms:
```
data_LaGa2Ni
_chemical_formula_sum 'La2 Ga4 Ni2'
_cell_length_a 9.0555
_cell_length_b 9.0555
_cell_length_c 4.2250
_cell_angle_alpha 90.00
_cell_angle_beta 90.00
_cell_angle_gamma 152.57
_space_group_name_H-M_alt 'P 1'
_space_group_IT_number 1
_space_group_name_Hall 'P 1'
loop_
_atom_site_label
_atom_site_type_symbol
_atom_site_fract_x
_atom_site_fract_y
_atom_site_fract_z
La1 La 0.1409 0.8591 0.0000
La2 La 0.8591 0.1409 0.0000
Ga1 Ga 0.0000 0.0000 0.5000
Ga2 Ga 0.2912 0.7088 0.5000
Ga3 Ga 0.5000 0.5000 0.0000
Ga4 Ga 0.7088 0.2912 0.5000
Ni1 Ni 0.4292 0.5708 0.5000
Ni2 Ni 0.5708 0.4292 0.5000
```

Main lines, by intensity (5° ≤ 2θ ≤ 70°):
| 2θ/deg | d [Å] | Rel. int. |
| --- | --- | --- |
| 33.4 | 2.679 | 100 |
| 41.6 | 2.169 | 38 |
| 42.1 | 2.147 | 30 |
| 29.3 | 3.047 | 30 |
| 42.8 | 2.112 | 29 |
| 61.2 | 1.513 | 24 |
| 30.1 | 2.969 | 21 |
| 61.6 | 1.506 | 19 |
| 25.7 | 3.465 | 13 |
| 46.6 | 1.951 | 13 |

***

Record 5
Starting from a crystal structure in the Materials Project, relaxed with GGA-PBE, the powder diffractogram of Gd2Fe17C was simulated for Cu Kα.
Neutral-atom scattering factors, no anomalous dispersion.

Cell and atoms:
```
data_Gd2Fe17C
_chemical_formula_sum 'Gd2 Fe17 C1'
_cell_length_a 6.3714
_cell_length_b 6.3714
_cell_length_c 6.3229
_cell_angle_alpha 96.69
_cell_angle_beta 96.69
_cell_angle_gamma 83.40
_space_group_name_H-M_alt 'P 1'
_space_group_IT_number 1
_space_group_name_Hall 'P 1'
loop_
_atom_site_label
_atom_site_type_symbol
_atom_site_fract_x
_atom_site_fract_y
_atom_site_fract_z
Gd1 Gd 0.1573 0.1573 0.3520
Gd2 Gd 0.8427 0.8427 0.6480
Fe1 Fe 0.0000 0.5000 0.0000
Fe2 Fe 0.1543 0.1543 0.8503
Fe3 Fe 0.1573 0.6479 0.3486
Fe4 Fe 0.2143 0.4971 0.7152
Fe5 Fe 0.2193 0.7807 0.0000
Fe6 Fe 0.3521 0.8427 0.6514
Fe7 Fe 0.4029 0.4029 0.0982
Fe8 Fe 0.4971 0.2143 0.7152
Fe9 Fe 0.5000 0.0000 0.0000
Fe10 Fe 0.5000 0.5000 0.5000
Fe11 Fe 0.5029 0.7857 0.2848
Fe12 Fe 0.5971 0.5971 0.9018
Fe13 Fe 0.6479 0.1573 0.3486
Fe14 Fe 0.7807 0.2193 0.0000
Fe15 Fe 0.7857 0.5029 0.2848
Fe16 Fe 0.8427 0.3521 0.6514
Fe17 Fe 0.8457 0.8457 0.1497
C1 C 0.0000 0.0000 0.0000
```

Main lines, by intensity (5° ≤ 2θ ≤ 70°):
| 2θ/deg | d [Å] | Rel. int. |
| --- | --- | --- |
| 43.1 | 2.097 | 100 |
| 42.9 | 2.109 | 92 |
| 44.5 | 2.036 | 82 |
| 43.2 | 2.092 | 59 |
| 30.4 | 2.937 | 57 |
| 36.8 | 2.443 | 51 |
| 38.4 | 2.342 | 50 |
| 42.7 | 2.119 | 48 |
| 43.5 | 2.082 | 32 |
| 37.0 | 2.432 | 29 |

***

Record 6
Starting from a crystal structure in the Materials Project, relaxed with GGA-PBE, the powder diffractogram of AuSe was simulated for Cu Kα.
Neutral-atom scattering factors, no anomalous dispersion.

Cell and atoms:
```
data_AuSe
_chemical_formula_sum 'Au2 Se2'
_cell_length_a 4.1520
_cell_length_b 4.1520
_cell_length_c 5.8132
_cell_angle_alpha 90.00
_cell_angle_beta 90.00
_cell_angle_gamma 120.00
_space_group_name_H-M_alt 'P 1'
_space_group_IT_number 1
_space_group_name_Hall 'P 1'
loop_
_atom_site_label
_atom_site_type_symbol
_atom_site_fract_x
_atom_site_fract_y
_atom_site_fract_z
Au1 Au 0.0000 0.0000 0.0000
Au2 Au 0.0000 0.0000 0.5000
Se1 Se 0.3333 0.6667 0.2500
Se2 Se 0.6667 0.3333 0.7500
```

Main lines, by intensity (5° ≤ 2θ ≤ 70°):
| 2θ/deg | d [Å] | Rel. int. |
| --- | --- | --- |
| 39.9 | 2.260 | 100 |
| 24.8 | 3.596 | 74 |
| 43.6 | 2.076 | 53 |
| 60.6 | 1.529 | 30 |
| 29.2 | 3.058 | 20 |
| 50.8 | 1.798 | 11 |
| 54.3 | 1.689 | 11 |
| 69.1 | 1.359 | 9 |
| 69.8 | 1.347 | 9 |
| 30.8 | 2.907 | 8 |

***

Record 7
Starting from a crystal structure in the Materials Project, relaxed with GGA-PBE, the powder diffractogram of Rb2LaTa6Br15O3 was simulated for Cu Kα.
Neutral-atom scattering factors, no anomalous dispersion.

Cell and atoms:
```
data_Rb2LaTa6Br15O3
_chemical_formula_sum 'Rb4 La2 Ta12 Br30 O6'
_cell_length_a 9.6335
_cell_length_b 9.6335
_cell_length_c 18.2610
_cell_angle_alpha 90.00
_cell_angle_beta 90.00
_cell_angle_gamma 120.00
_space_group_name_H-M_alt 'P 1'
_space_group_IT_number 1
_space_group_name_Hall 'P 1'
loop_
_atom_site_label
_atom_site_type_symbol
_atom_site_fract_x
_atom_site_fract_y
_atom_site_fract_z
Rb1 Rb 0.3333 0.6667 0.0461
Rb2 Rb 0.3333 0.6667 0.4539
Rb3 Rb 0.6667 0.3333 0.5461
Rb4 Rb 0.6667 0.3333 0.9539
La1 La 0.3333 0.6667 0.7500
La2 La 0.6667 0.3333 0.2500
Ta1 Ta 0.0169 0.1891 0.8136
Ta2 Ta 0.0169 0.8277 0.6864
Ta3 Ta 0.1723 0.1891 0.6864
Ta4 Ta 0.1723 0.9831 0.8136
Ta5 Ta 0.1891 0.0169 0.3136
Ta6 Ta 0.1891 0.1723 0.1864
Ta7 Ta 0.8109 0.8277 0.8136
Ta8 Ta 0.8109 0.9831 0.6864
Ta9 Ta 0.8277 0.0169 0.1864
Ta10 Ta 0.8277 0.8109 0.3136
Ta11 Ta 0.9831 0.1723 0.3136
Ta12 Ta 0.9831 0.8109 0.1864
Br1 Br 0.0188 0.2221 0.0868
Br2 Br 0.0188 0.7967 0.4132
Br3 Br 0.0731 0.4691 0.8841
Br4 Br 0.0731 0.6040 0.6159
Br5 Br 0.2033 0.2221 0.4132
Br6 Br 0.2033 0.9812 0.0868
Br7 Br 0.2133 0.4265 0.2500
Br8 Br 0.2133 0.7867 0.2500
Br9 Br 0.2221 0.0188 0.5868
Br10 Br 0.2221 0.2033 0.9132
Br11 Br 0.3960 0.4691 0.6159
Br12 Br 0.3960 0.9269 0.8841
Br13 Br 0.4265 0.2133 0.7500
Br14 Br 0.4691 0.0731 0.3841
Br15 Br 0.4691 0.3960 0.1159
Br16 Br 0.5309 0.6040 0.8841
Br17 Br 0.5309 0.9269 0.6159
Br18 Br 0.5735 0.7867 0.2500
Br19 Br 0.6040 0.0731 0.1159
Br20 Br 0.6040 0.5309 0.3841
Br21 Br 0.7779 0.7967 0.0868
Br22 Br 0.7779 0.9812 0.4132
Br23 Br 0.7867 0.2133 0.7500
Br24 Br 0.7867 0.5735 0.7500
Br25 Br 0.7967 0.0188 0.9132
Br26 Br 0.7967 0.7779 0.5868
Br27 Br 0.9269 0.3960 0.3841
Br28 Br 0.9269 0.5309 0.1159
Br29 Br 0.9812 0.2033 0.5868
Br30 Br 0.9812 0.7779 0.9132
O1 O 0.1805 0.3610 0.7500
O2 O 0.1805 0.8195 0.7500
O3 O 0.3610 0.1805 0.2500
O4 O 0.6390 0.8195 0.7500
O5 O 0.8195 0.1805 0.2500
O6 O 0.8195 0.6390 0.2500
```

Main lines, by intensity (5° ≤ 2θ ≤ 70°):
| 2θ/deg | d [Å] | Rel. int. |
| --- | --- | --- |
| 10.6 | 8.343 | 100 |
| 34.6 | 2.595 | 85 |
| 9.7 | 9.130 | 73 |
| 14.4 | 6.159 | 36 |
| 28.3 | 3.153 | 30 |
| 42.4 | 2.130 | 29 |
| 32.0 | 2.800 | 29 |
| 26.9 | 3.313 | 28 |
| 41.2 | 2.190 | 25 |
| 41.0 | 2.202 | 21 |

***

Record 8
Starting from a crystal structure in the Materials Project, relaxed with GGA-PBE, the powder diffractogram of KTh2F9 was simulated for Cu Kα.
Neutral-atom scattering factors, no anomalous dispersion.

Cell and atoms:
```
data_KTh2F9
_chemical_formula_sum 'K4 Th8 F36'
_cell_length_a 8.9408
_cell_length_b 11.8309
_cell_length_c 7.2577
_cell_angle_alpha 90.00
_cell_angle_beta 90.00
_cell_angle_gamma 90.00
_space_group_name_H-M_alt 'P 1'
_space_group_IT_number 1
_space_group_name_Hall 'P 1'
loop_
_atom_site_label
_atom_site_type_symbol
_atom_site_fract_x
_atom_site_fract_y
_atom_site_fract_z
K1 K 0.0368 0.2500 0.1436
K2 K 0.4632 0.7500 0.6436
K3 K 0.5368 0.2500 0.3564
K4 K 0.9632 0.7500 0.8564
Th1 Th 0.1750 0.0503 0.6534
Th2 Th 0.1750 0.4497 0.6534
Th3 Th 0.3250 0.5503 0.1534
Th4 Th 0.3250 0.9497 0.1534
Th5 Th 0.6750 0.0503 0.8466
Th6 Th 0.6750 0.4497 0.8466
Th7 Th 0.8250 0.5503 0.3466
Th8 Th 0.8250 0.9497 0.3466
F1 F 0.0038 0.5978 0.5758
F2 F 0.0038 0.9022 0.5758
F3 F 0.0632 0.5797 0.1987
F4 F 0.0632 0.9203 0.1987
F5 F 0.1786 0.2500 0.6619
F6 F 0.2099 0.0954 0.9710
F7 F 0.2099 0.4046 0.9710
F8 F 0.2167 0.6062 0.8552
F9 F 0.2167 0.8938 0.8552
F10 F 0.2833 0.1062 0.3552
F11 F 0.2833 0.3938 0.3552
F12 F 0.2901 0.5954 0.4710
F13 F 0.2901 0.9046 0.4710
F14 F 0.3214 0.7500 0.1619
F15 F 0.4368 0.0797 0.6987
F16 F 0.4368 0.4203 0.6987
F17 F 0.4962 0.0978 0.0758
F18 F 0.4962 0.4022 0.0758
F19 F 0.5038 0.5978 0.9242
F20 F 0.5038 0.9022 0.9242
F21 F 0.5632 0.5797 0.3013
F22 F 0.5632 0.9203 0.3013
F23 F 0.6786 0.2500 0.8381
F24 F 0.7099 0.0954 0.5290
F25 F 0.7099 0.4046 0.5290
F26 F 0.7167 0.6062 0.6448
F27 F 0.7167 0.8938 0.6448
F28 F 0.7833 0.1062 0.1448
F29 F 0.7833 0.3938 0.1448
F30 F 0.7901 0.5954 0.0290
F31 F 0.7901 0.9046 0.0290
F32 F 0.8214 0.7500 0.3381
F33 F 0.9368 0.0797 0.8013
F34 F 0.9368 0.4203 0.8013
F35 F 0.9962 0.0978 0.4242
F36 F 0.9962 0.4022 0.4242
```

Main lines, by intensity (5° ≤ 2θ ≤ 70°):
| 2θ/deg | d [Å] | Rel. int. |
| --- | --- | --- |
| 15.0 | 5.915 | 100 |
| 45.1 | 2.009 | 56 |
| 26.5 | 3.362 | 52 |
| 23.4 | 3.806 | 46 |
| 25.7 | 3.465 | 43 |
| 30.6 | 2.923 | 41 |
| 27.9 | 3.201 | 39 |
| 45.6 | 1.989 | 31 |
| 27.6 | 3.232 | 26 |
| 25.0 | 3.566 | 25 |

***

Record 9
Starting from a crystal structure in the Materials Project, relaxed with GGA-PBE, the powder diffractogram of DyCuPb was simulated for Cu Kα.
Neutral-atom scattering factors, no anomalous dispersion.

Cell and atoms:
```
data_DyCuPb
_chemical_formula_sum 'Dy2 Cu2 Pb2'
_cell_length_a 4.6075
_cell_length_b 4.6075
_cell_length_c 7.4189
_cell_angle_alpha 90.00
_cell_angle_beta 90.00
_cell_angle_gamma 120.00
_space_group_name_H-M_alt 'P 1'
_space_group_IT_number 1
_space_group_name_Hall 'P 1'
loop_
_atom_site_label
_atom_site_type_symbol
_atom_site_fract_x
_atom_site_fract_y
_atom_site_fract_z
Dy1 Dy 0.0000 0.0000 0.0000
Dy2 Dy 0.0000 0.0000 0.5000
Cu1 Cu 0.3333 0.6667 0.2500
Cu2 Cu 0.6667 0.3333 0.7500
Pb1 Pb 0.3333 0.6667 0.7500
Pb2 Pb 0.6667 0.3333 0.2500
```

Main lines, by intensity (5° ≤ 2θ ≤ 70°):
| 2θ/deg | d [Å] | Rel. int. |
| --- | --- | --- |
| 33.0 | 2.717 | 100 |
| 39.1 | 2.304 | 67 |
| 64.5 | 1.445 | 31 |
| 25.3 | 3.514 | 29 |
| 52.0 | 1.757 | 28 |
| 67.0 | 1.397 | 26 |
| 49.1 | 1.855 | 12 |
| 43.0 | 2.102 | 8 |
| 47.2 | 1.927 | 6 |
| 46.4 | 1.957 | 6 |

***

Repeat the first record exactly.
Starting from a crystal structure in the Materials Project, relaxed with GGA-PBE, the powder diffractogram of MgTi2Zn2O6 was simulated for Cu Kα.
Neutral-atom scattering factors, no anomalous dispersion.

Cell and atoms:
```
data_MgTi2Zn2O6
_chemical_formula_sum 'Mg1 Ti2 Zn2 O6'
_cell_length_a 5.2717
_cell_length_b 5.6459
_cell_length_c 5.6610
_cell_angle_alpha 69.75
_cell_angle_beta 67.80
_cell_angle_gamma 69.87
_space_group_name_H-M_alt 'P 1'
_space_group_IT_number 1
_space_group_name_Hall 'P 1'
loop_
_atom_site_label
_atom_site_type_symbol
_atom_site_fract_x
_atom_site_fract_y
_atom_site_fract_z
Mg1 Mg 0.0000 0.0000 0.0000
Ti1 Ti 0.2934 0.3711 0.3412
Ti2 Ti 0.7774 0.5159 0.1599
Zn1 Zn 0.4836 0.2013 0.8303
Zn2 Zn 0.6295 0.7510 0.6168
O1 O 0.1217 0.2364 0.1414
O2 O 0.2986 0.0719 0.6454
O3 O 0.5018 0.5099 0.5093
O4 O 0.6439 0.2877 0.0520
O5 O 0.7516 0.8218 0.8857
O6 O 0.9849 0.6770 0.3023
```

Main lines, by intensity (5° ≤ 2θ ≤ 70°):
| 2θ/deg | d [Å] | Rel. int. |
| --- | --- | --- |
| 27.6 | 3.231 | 100 |
| 43.5 | 2.082 | 86 |
| 18.8 | 4.731 | 80 |
| 29.3 | 3.044 | 63 |
| 28.6 | 3.119 | 52 |
| 52.2 | 1.752 | 49 |
| 22.2 | 4.004 | 49 |
| 49.0 | 1.859 | 41 |
| 50.4 | 1.812 | 40 |
| 21.6 | 4.116 | 32 |

***

Which formula does entry 9 have? DyCuPb